[1]
Computed X-ray powder pattern of ZnPbO3 for Cu Kα X-rays, from a crystal structure in the Materials Project, relaxed with PBE.
No peak broadening, texture or thermal motion is included.

Top 10 peaks for 5° ≤ 2θ ≤ 70°, most intense first:
Position (°2θ)  intensity
30.80  100
32.46  86
22.23  69
45.35  39
56.87  39
49.94  37
57.90  25
39.69  16
53.70  16
52.18  15

Cell and atoms:
```
10
Lattice="2.758 1.593 4.874 -2.758 1.593 4.874 0.000 -3.185 4.874" Properties=species:S:1:pos:R:3 pbc="T T T"
Zn 0.000 0.000 0.000
Zn 0.000 0.000 7.311
Pb 0.000 0.000 3.185
Pb 0.000 0.000 10.495
O -0.765 -1.716 6.497
O -1.655 -0.072 8.934
O -1.104 1.521 6.497
O 0.890 -1.397 8.934
O 1.869 0.196 6.497
O 0.765 1.469 8.934
```

***

[2]
Computed X-ray powder pattern of K4P2O7 for Cu Kα X-rays, from a crystal structure in the Materials Project, relaxed with PBE.
No peak broadening, texture or thermal motion is included.

Top 10 peaks for 5° ≤ 2θ ≤ 70°, most intense first:
Position (°2θ)  intensity
29.75  100
29.22  68
42.19  41
18.04  41
38.98  30
34.32  23
61.79  19
52.81  15
57.70  14
23.55  14

Cell and atoms:
```
26
Lattice="6.006 0.000 0.000 -3.003 5.201 0.000 0.000 0.000 15.108" Properties=species:S:1:pos:R:3 pbc="T T T"
K 0.000 0.000 0.000
K 0.000 0.000 3.777
K 0.000 0.000 7.554
K 0.000 0.000 11.331
K 0.000 3.467 1.271
K 0.000 3.467 6.283
K 3.003 1.734 8.825
K 3.003 1.734 13.837
P 0.000 3.467 9.712
P 0.000 3.467 12.950
P 3.003 1.734 2.158
P 3.003 1.734 5.396
O 0.000 1.992 9.289
O 0.000 1.992 13.373
O -1.277 4.205 9.289
O -1.277 4.205 13.373
O 0.000 3.467 11.331
O 1.725 0.996 1.735
O 1.725 0.996 5.819
O 1.277 4.205 9.289
O 1.277 4.205 13.373
O 3.003 1.734 3.777
O 4.280 0.996 1.735
O 4.280 0.996 5.819
O 3.003 3.209 1.735
O 3.003 3.209 5.819
```

***

Question: Which formula does entry 1 have?
Answer: ZnPbO3